(1)
Theoretical powder diffraction line list of BaCuF5 for Cu Kα (weighted mean of Kα1 and Kα2), from a crystal structure in Alexandria, relaxed with PBE.

Top 6 peaks for 2θ = 10–80°, by intensity:
- 2θ 25.53, d 3.488, intensity 100, hkl 1 1 0
- 2θ 33.98, d 2.638, intensity 89, hkl 1 1 2
- 2θ 22.05, d 4.032, intensity 77, hkl 0 0 2
- 2θ 39.43, d 2.285, intensity 57, hkl 0 2 2
- 2θ 40.20, d 2.243, intensity 38, hkl 2 0 0
- 2θ 57.58, d 1.601, intensity 35, hkl 2 2 2

Structure:
```
data_BaCuF5
_symmetry_space_group_name_H-M 'I m m m'
_symmetry_Int_Tables_number 71
_symmetry_space_group_name_Hall '-I 2 2'
_cell_length_a 4.4860
_cell_length_b 5.5483
_cell_length_c 8.0640
_cell_angle_alpha 90.00
_cell_angle_beta 90.00
_cell_angle_gamma 90.00
loop_
_atom_site_label
_atom_site_type_symbol
_atom_site_fract_x
_atom_site_fract_y
_atom_site_fract_z
Ba1 Ba 0.0000 0.0000 0.0000
Cu1 Cu 0.0000 0.0000 0.5000
F1 F 0.0000 0.2409 0.3452
F2 F 0.0000 0.5000 0.0000
```


(2)
Theoretical powder diffraction line list of Nb6AuC for Cu Kα (weighted mean of Kα1 and Kα2), from a crystal structure in Alexandria, relaxed with PBE.

Top 6 peaks for 2θ = 10–80°, by intensity:
- 2θ 36.12, d 2.487, intensity 100, hkl 0 1 -2
- 2θ 36.56, d 2.458, intensity 98, hkl 1 1 1
- 2θ 36.91, d 2.436, intensity 92, hkl 2 0 -1
- 2θ 37.43, d 2.402, intensity 86, hkl 1 -2 0
- 2θ 39.31, d 2.292, intensity 85, hkl 1 2 -1
- 2θ 39.94, d 2.257, intensity 81, hkl -1 1 2

Structure:
```
data_Nb6AuC
_symmetry_space_group_name_H-M 'P -1'
_symmetry_Int_Tables_number 2
_symmetry_space_group_name_Hall '-P 1'
_cell_length_a 4.9249
_cell_length_b 5.3786
_cell_length_c 5.4933
_cell_angle_alpha 98.39
_cell_angle_beta 107.91
_cell_angle_gamma 92.50
loop_
_atom_site_label
_atom_site_type_symbol
_atom_site_fract_x
_atom_site_fract_y
_atom_site_fract_z
Nb1 Nb 0.0575 0.2980 0.1429
Nb2 Nb 0.2110 0.8515 0.4410
Nb3 Nb 0.4001 0.4084 0.7317
Au1 Au 0.5000 0.0000 0.0000
C1 C 0.0000 0.5000 0.5000
```


Which formula does entry 1 have? BaCuF5


What is the formula in the second record? Nb6AuC